The following is a calculated X-ray powder pattern of K2RbGa3Au2. It was derived from DFT lattice parameters and positions (PBE), using Cu Kα (weighted mean of Kα1 and Kα2).
No peak broadening, texture or thermal motion is included.

Most intense lines, 5 to 70 degrees two-theta, low angle first:
| 2theta | d (Å) | I/Imax |
| --- | --- | --- |
| 10.29 | 8.600 | 100 |
| 12.07 | 7.333 | 30 |
| 15.51 | 5.713 | 19 |
| 23.76 | 3.745 | 21 |
| 31.68 | 2.824 | 32 |
| 37.83 | 2.378 | 18 |

Crystal structure
```
K2RbGa3Au2
1.0
8.609 -2.473 0.000
8.609 2.473 0.000
-0.343 0.000 7.333
K Rb Ga Au
2 1 3 2
Cartesian
0.000 0.000 0.000
3.543 0.000 0.719
9.321 0.000 3.778
6.277 0.000 6.012
13.587 0.000 3.435
13.697 0.000 5.864
6.863 0.000 1.343
14.109 0.000 1.045
```